(1)
This entry pairs a crystal structure of MgV5O12 with its calculated powder diffractogram. Radiation: Cu Kα (λ = 1.5418 Å). Structure: DFT lattice parameters and positions (GGA+U).

Peak list (12 most intense, 2θ = 10–80°, in order of rising 2θ)
2θ (°)  I/Imax
11.55  63
23.22  87
24.58  100
24.89  90
28.34  51
32.77  75
32.92  83
34.04  59
35.32  42
41.48  38
47.47  38
52.41  40

Cell and atoms:
```
18
Lattice="4.9299 0.0000 0.0000 -0.0634 5.2988 0.0000 -0.0172 -0.8446 7.6615" Properties=species:S:1:pos:R:3 pbc="T T T"
Mg 0.0000 0.0000 0.0000
V 0.0343 2.0338 2.3455
V 2.3846 2.7552 0.0227
V 2.3598 4.1609 5.7556
V 2.4518 4.7318 2.2809
V 4.7798 1.4912 5.7895
O 0.7958 1.9421 0.4005
O 0.9258 -0.2380 5.7806
O 0.9312 3.4080 2.7332
O 1.5448 0.7392 2.7144
O 1.5435 2.4858 5.8752
O 1.7544 4.5309 0.5398
O 2.9510 4.2893 4.1818
O 3.3391 2.8770 1.6416
O 3.3779 0.3413 6.7062
O 3.8236 2.9879 6.6944
O 4.0173 0.2358 1.8074
O 4.3136 1.6723 4.1831
```

(2)
This entry pairs a crystal structure of Mg8V5O16 with its calculated powder diffractogram. Radiation: Cu Kα (λ = 1.5418 Å). Structure: DFT lattice parameters and positions (GGA+U).

Peak list (12 most intense, 2θ = 10–80°, in order of rising 2θ)
2θ (°)  I/Imax
17.89  56
18.20  18
34.87  13
35.36  33
35.72  12
42.77  100
42.91  50
56.21  14
61.41  38
61.99  18
62.17  19
62.96  35

Cell and atoms:
```
29
Lattice="5.2497 -2.9863 0.0000 5.2497 2.9863 0.0000 -3.3565 0.0000 9.6214" Properties=species:S:1:pos:R:3 pbc="T T T"
Mg 0.0000 0.0000 0.0000
Mg 2.6249 1.4932 0.0000
Mg 0.0312 0.0000 5.5141
Mg 1.7454 0.0000 2.4314
Mg 2.6249 -1.4932 0.0000
Mg 5.2497 0.0000 0.0000
Mg 5.3975 0.0000 7.1900
Mg 7.1118 0.0000 4.1073
V 2.6908 1.5296 7.1709
V 4.4522 1.5296 2.4505
V 3.5715 0.0000 4.8107
V 2.6908 -1.5296 7.1709
V 4.4522 -1.5296 2.4505
O -1.7188 0.0000 8.3912
O 0.0356 0.0000 3.4982
O 1.0914 1.5396 8.4182
O 2.8263 1.3713 3.5762
O 6.0516 1.5396 1.2032
O 3.5344 0.0000 1.1905
O 4.3167 1.3713 6.0452
O 1.9545 0.0000 6.0741
O 5.1885 0.0000 3.5473
O 2.8263 -1.3713 3.5762
O 3.6086 0.0000 8.4309
O 1.0914 -1.5396 8.4182
O 4.3167 -1.3713 6.0452
O 6.0516 -1.5396 1.2032
O 7.1074 0.0000 6.1232
O 8.8618 0.0000 1.2302
```

(3)
This entry pairs a crystal structure of MgV5O12 with its calculated powder diffractogram. Radiation: Cu Kα (λ = 1.5418 Å). Structure: DFT lattice parameters and positions (GGA+U).

Peak list (12 most intense, 2θ = 10–80°, in order of rising 2θ)
2θ (°)  I/Imax
19.48  32
21.18  100
23.72  74
23.90  71
24.45  76
32.84  56
33.26  49
33.41  50
34.98  32
40.44  31
41.14  32
53.61  45

Cell and atoms:
```
18
Lattice="5.0797 0.0000 0.0000 0.1626 5.4086 0.0000 0.0273 0.6503 7.4463" Properties=species:S:1:pos:R:3 pbc="T T T"
Mg 0.0000 0.0000 0.0000
V 0.1675 2.7736 5.3136
V 2.5522 3.1931 3.7142
V 2.6523 5.1754 1.5875
V 2.8694 5.4705 5.3742
V 4.9386 2.3860 1.5369
O 0.5344 2.7246 7.0099
O 1.0126 0.6700 1.7487
O 1.2053 4.2045 4.6912
O 1.7637 3.2662 2.1340
O 1.7792 1.7515 4.5948
O 2.0842 5.5578 6.9451
O 3.1535 5.0265 3.3974
O 3.5739 3.7877 5.4955
O 3.6689 1.1224 1.0537
O 4.1635 0.9413 5.6680
O 4.2907 3.9511 1.0363
O 4.2593 2.5155 3.4145
```

(4)
This entry pairs a crystal structure of Mg3V2O8 with its calculated powder diffractogram. Radiation: Cu Kα (λ = 1.5418 Å). Structure: DFT lattice parameters and positions (GGA+U).

Peak list (12 most intense, 2θ = 10–80°, in order of rising 2θ)
2θ (°)  I/Imax
17.98  79
29.32  42
30.75  100
34.61  97
35.24  73
36.45  61
43.01  25
52.91  39
55.91  19
58.04  23
60.83  63
64.05  56

Cell and atoms:
```
13
Lattice="3.0457 1.7584 4.6457 -3.0457 1.7584 4.6457 0.0000 -3.5169 4.6457" Properties=species:S:1:pos:R:3 pbc="T T T"
Mg -1.5228 -0.8792 4.6457
Mg -1.5228 0.8792 9.2914
Mg 0.0000 1.7584 4.6457
V 0.0000 0.0000 1.7210
V 0.0000 0.0000 12.2161
O -1.6340 -0.9434 8.1546
O 0.0000 -1.8868 5.7825
O -1.6340 0.9434 5.7825
O 0.0000 0.0000 3.5643
O 0.0000 0.0000 10.3728
O 1.6340 -0.9434 8.1546
O 0.0000 1.8868 8.1546
O 1.6340 0.9434 5.7825
```

(5)
This entry pairs a crystal structure of MgV3O8 with its calculated powder diffractogram. Radiation: Cu Kα (λ = 1.5418 Å). Structure: DFT lattice parameters and positions (GGA+U).

Peak list (12 most intense, 2θ = 10–80°, in order of rising 2θ)
2θ (°)  I/Imax
13.14  17
13.96  14
20.19  20
26.45  72
26.58  100
27.27  73
28.13  18
35.20  22
37.32  14
40.14  16
53.43  34
59.60  12

Cell and atoms:
```
24
Lattice="5.2920 -4.3982 0.0000 5.2920 4.3982 0.0000 -3.9023 0.0000 6.7389" Properties=species:S:1:pos:R:3 pbc="T T T"
Mg 0.0704 0.0000 1.9995
Mg 6.6112 0.0000 4.7394
V 3.1199 1.6188 1.4997
V 3.5617 1.6188 5.2392
V 1.3590 -1.1963 4.8899
V 2.2180 -2.7740 2.0210
V 5.3226 -1.1963 1.8490
V 4.4636 -2.7740 4.7179
O 5.2920 4.3194 0.0000
O 1.3814 1.6764 1.8890
O -0.5232 1.6963 6.4269
O 3.9082 2.9646 2.0583
O 2.7734 2.9646 4.6806
O -0.0391 0.1527 4.2171
O 1.4556 -1.3880 2.7335
O 3.8968 0.1738 2.0003
O 2.7848 0.1738 4.7386
O 7.2049 1.6963 0.3120
O 5.3002 1.6764 4.8499
O 5.2920 -1.1039 0.0000
O 6.7208 0.1527 2.5218
O 3.9991 -2.7561 2.1231
O 2.6825 -2.7561 4.6158
O 5.2260 -1.3880 4.0054
```

(6)
This entry pairs a crystal structure of Mg8V5O16 with its calculated powder diffractogram. Radiation: Cu Kα (λ = 1.5418 Å). Structure: DFT lattice parameters and positions (GGA+U).

Peak list (12 most intense, 2θ = 10–80°, in order of rising 2θ)
2θ (°)  I/Imax
17.92  100
18.03  33
34.82  43
34.97  36
35.14  23
42.19  96
42.41  92
42.82  89
61.25  70
61.45  69
62.10  33
62.27  36

Cell and atoms:
```
29
Lattice="6.0381 0.0000 0.0000 3.0181 5.2472 0.0000 2.9107 1.6391 9.7388" Properties=species:S:1:pos:R:3 pbc="T T T"
Mg 0.0000 0.0000 0.0000
Mg 1.5212 2.6266 0.0019
Mg 3.0318 1.7410 2.4550
Mg 4.5418 2.5620 5.5378
Mg 7.4577 4.2448 9.7342
Mg 6.0907 5.2406 0.0429
Mg 7.4724 4.3123 4.1325
Mg 8.9879 5.1372 7.2505
V 1.4762 0.8355 4.8366
V 4.4870 4.3146 2.4242
V 6.0490 5.1430 7.2501
V 5.9617 1.7396 2.4548
V 7.5051 2.5599 7.2865
O 2.9001 1.6067 6.1930
O 1.5047 0.8728 1.1558
O 4.6048 4.4788 6.1882
O 3.1156 3.4594 1.1564
O 5.8285 5.2519 3.5932
O 7.3397 5.9013 8.4471
O 6.0364 3.4459 8.4540
O 4.5451 2.5684 3.5417
O 7.4337 4.3311 6.1704
O 5.9541 3.4810 1.1757
O 4.5636 0.9403 1.1666
O 6.1714 1.6126 6.1279
O 8.8827 3.4301 8.5137
O 10.4995 6.0017 8.5192
O 7.4767 2.4054 3.5882
O 9.1267 5.2307 3.5609
```

(7)
This entry pairs a crystal structure of MgV6O15 with its calculated powder diffractogram. Radiation: Cu Kα (λ = 1.5418 Å). Structure: DFT lattice parameters and positions (GGA+U).

Peak list (12 most intense, 2θ = 10–80°, in order of rising 2θ)
2θ (°)  I/Imax
12.21  98
18.15  35
26.29  100
27.64  28
28.87  69
30.49  59
30.86  24
32.78  31
36.13  19
41.24  25
45.14  25
50.41  44

Cell and atoms:
```
22
Lattice="7.6487 -1.8102 0.0000 7.6487 1.8102 0.0000 -3.2859 0.0000 9.7731" Properties=species:S:1:pos:R:3 pbc="T T T"
Mg 0.0000 0.0000 0.0000
V 0.4240 0.0000 5.1043
V 2.0147 0.0000 8.0492
V 3.7299 0.0000 4.9373
V 9.4735 0.0000 2.8126
V 7.7472 0.0000 9.5403
V 12.9089 0.0000 2.7924
O -1.0576 0.0000 3.9041
O -0.3214 0.0000 6.5370
O 1.8915 0.0000 3.3553
O 0.7564 0.0000 9.5210
O 2.2374 0.0000 6.0267
O 4.7788 0.0000 3.1412
O 3.5460 0.0000 8.8541
O 4.9124 0.0000 6.0212
O 8.2548 0.0000 1.6769
O 6.1206 0.0000 9.1430
O 8.3834 0.0000 4.6218
O 10.9091 0.0000 1.7450
O 9.0489 0.0000 8.0093
O 11.2493 0.0000 4.3608
O 13.6440 0.0000 1.2906
```